Entry 1:
Starting from a cell relaxed with PBE, the X-ray diffraction stick pattern of Cs2Mg3F8 was calculated for a wavelength of 1.5418 Å.

Structural model:
```
data_Cs2Mg3F8
_space_group_name_H-M_alt 'P 1'
_space_group_IT_number 1
_cell_length_a 7.701
_cell_length_b 7.701
_cell_length_c 5.439
_cell_angle_alpha 106.88
_cell_angle_beta 106.88
_cell_angle_gamma 48.82
loop_
_space_group_symop_operation_xyz
'x,y,z'
loop_
_atom_site_label
_atom_site_fract_x
_atom_site_fract_y
_atom_site_fract_z
Cs1 0.223 0.223 0.184
Cs2 0.777 0.777 0.816
Mg1 0.241 0.759 0.500
Mg2 0.500 0.500 0.000
Mg3 0.759 0.241 0.500
F1 0.090 0.090 0.481
F2 0.208 0.637 0.125
F3 0.363 0.792 0.875
F4 0.421 0.421 0.605
F5 0.579 0.579 0.395
F6 0.637 0.208 0.125
F7 0.792 0.363 0.875
F8 0.910 0.910 0.519
```

Main lines, most intense first (2θ from 10° to 90°):
| d [Å] | Position (°2θ) | I/Imax |
| --- | --- | --- |
| 3.424 | 26.0 | 100 |
| 3.597 | 24.7 | 93 |
| 4.129 | 21.5 | 78 |
| 2.871 | 31.2 | 56 |
| 3.637 | 24.5 | 36 |
| 2.456 | 36.6 | 30 |
| 3.322 | 26.8 | 30 |
| 3.183 | 28.0 | 29 |

=====

Entry 2:
Starting from a cell relaxed with PBE, the X-ray diffraction stick pattern of La9Dy4Ho was calculated for a wavelength of 1.5418 Å.

Structural model:
```
data_La9Dy4Ho
_space_group_name_H-M_alt 'P 1'
_space_group_IT_number 1
_cell_length_a 10.044
_cell_length_b 10.044
_cell_length_c 11.538
_cell_angle_alpha 90.00
_cell_angle_beta 90.00
_cell_angle_gamma 120.00
loop_
_space_group_symop_operation_xyz
'x,y,z'
loop_
_atom_site_label
_atom_site_fract_x
_atom_site_fract_y
_atom_site_fract_z
La1 0.078 0.539 0.250
La2 0.207 0.414 0.529
La3 0.207 0.414 0.971
La4 0.207 0.793 0.529
La5 0.207 0.793 0.971
La6 0.414 0.207 0.029
La7 0.414 0.207 0.471
La8 0.461 0.539 0.250
La9 0.461 0.922 0.250
La10 0.539 0.078 0.750
La11 0.539 0.461 0.750
La12 0.586 0.793 0.529
La13 0.586 0.793 0.971
La14 0.793 0.207 0.029
La15 0.793 0.207 0.471
La16 0.793 0.586 0.029
La17 0.793 0.586 0.471
La18 0.922 0.461 0.750
Dy1 0.000 0.000 0.000
Dy2 0.000 0.000 0.500
Dy3 0.110 0.219 0.250
Dy4 0.110 0.890 0.250
Dy5 0.219 0.110 0.750
Dy6 0.781 0.890 0.250
Dy7 0.890 0.110 0.750
Dy8 0.890 0.781 0.750
Ho1 0.333 0.667 0.750
Ho2 0.667 0.333 0.250
```

Main lines, most intense first (2θ from 10° to 90°):
| d [Å] | Position (°2θ) | I/Imax |
| --- | --- | --- |
| 2.856 | 31.3 | 100 |
| 2.883 | 31.0 | 55 |
| 2.812 | 31.8 | 38 |
| 1.805 | 50.6 | 22 |
| 1.666 | 55.1 | 21 |
| 1.448 | 64.3 | 17 |
| 1.674 | 54.8 | 17 |
| 1.660 | 55.3 | 12 |